Starting from the PBE geometry in Alexandria, the X-ray powder pattern of Np2Cd4O9 was computed for Cu Kα.
No peak broadening, texture or thermal motion is included.

a = 5.705 Å, b = 5.705 Å, c = 15.768 Å
α = 90.00°, β = 90.00°, γ = 120.00°
Sites, in units of the cell vectors:
Np1 0.000 0.000 0.145
Np2 0.000 0.000 0.355
Np3 0.000 0.000 0.645
Np4 0.000 0.000 0.855
Cd1 0.333 0.667 0.187
Cd2 0.333 0.667 0.481
Cd3 0.333 0.667 0.687
Cd4 0.333 0.667 0.981
Cd5 0.667 0.333 0.019
Cd6 0.667 0.333 0.313
Cd7 0.667 0.333 0.519
Cd8 0.667 0.333 0.813
O1 0.000 0.273 0.250
O2 0.000 0.727 0.750
O3 0.031 0.340 0.585
O4 0.031 0.691 0.085
O5 0.273 0.000 0.250
O6 0.273 0.273 0.750
O7 0.309 0.340 0.085
O8 0.309 0.969 0.585
O9 0.340 0.031 0.915
O10 0.340 0.309 0.415
O11 0.660 0.691 0.585
O12 0.660 0.969 0.085
O13 0.691 0.031 0.415
O14 0.691 0.660 0.915
O15 0.727 0.000 0.750
O16 0.727 0.727 0.250
O17 0.969 0.309 0.915
O18 0.969 0.660 0.415

Peak list (8 most intense, 2θ = 10–80°, most intense first)
28.98 deg, d 3.081, I 100
31.36 deg, d 2.852, I 91
47.02 deg, d 1.933, I 42
43.22 deg, d 2.093, I 38
54.37 deg, d 1.688, I 38
17.95 deg, d 4.940, I 28
55.83 deg, d 1.647, I 26
21.22 deg, d 4.186, I 23

***

Starting from the PBE geometry in Alexandria, the X-ray powder pattern of NpCd3O7 was computed for Cu Kα.
No peak broadening, texture or thermal motion is included.

a = 5.603 Å, b = 5.603 Å, c = 6.032 Å
α = 104.15°, β = 104.15°, γ = 86.20°
Sites, in units of the cell vectors:
Np1 0.000 0.000 0.000
Cd1 0.392 0.895 0.624
Cd2 0.511 0.511 0.090
Cd3 0.895 0.392 0.624
O1 0.120 0.728 0.757
O2 0.228 0.228 0.879
O3 0.269 0.910 0.241
O4 0.539 0.539 0.464
O5 0.728 0.120 0.757
O6 0.753 0.753 0.003
O7 0.910 0.269 0.241

Peak list (8 most intense, 2θ = 10–80°, most intense first)
28.10 deg, d 3.175, I 100
23.10 deg, d 3.850, I 76
33.00 deg, d 2.714, I 69
15.59 deg, d 5.683, I 29
32.28 deg, d 2.773, I 26
53.21 deg, d 1.722, I 23
58.55 deg, d 1.576, I 20
32.13 deg, d 2.786, I 20

***

Starting from the PBE geometry in Alexandria, the X-ray powder pattern of NpZnCd2O8 was computed for Cu Kα.
No peak broadening, texture or thermal motion is included.

a = 4.843 Å, b = 5.302 Å, c = 6.896 Å
α = 96.67°, β = 95.10°, γ = 92.50°
Sites, in units of the cell vectors:
Np1 0.000 0.000 0.000
Zn1 0.000 0.000 0.500
Cd1 0.443 0.467 0.769
Cd2 0.557 0.533 0.231
O1 0.114 0.580 0.517
O2 0.205 0.104 0.738
O3 0.239 0.708 0.016
O4 0.253 0.201 0.195
O5 0.747 0.799 0.805
O6 0.761 0.292 0.984
O7 0.795 0.896 0.262
O8 0.886 0.420 0.483

Peak list (8 most intense, 2θ = 10–80°, most intense first)
24.37 deg, d 3.652, I 100
25.76 deg, d 3.459, I 71
30.66 deg, d 2.916, I 65
12.98 deg, d 6.819, I 57
29.45 deg, d 3.033, I 46
34.10 deg, d 2.629, I 43
33.61 deg, d 2.666, I 42
32.99 deg, d 2.715, I 34